Computed powder diffractogram of Si6Cl10O7 for copper Kα, from a structure optimized by DFT (PBE).
Kinematic intensities with the Lorentz-polarization factor, no thermal factor.

Crystal structure
```
46
Lattice="6.651 0.000 0.000 0.000 21.741 0.000 -1.461 0.000 8.731" Properties=species:S:1:pos:R:3 pbc="T T T"
Si 0.053 2.584 0.427
Si 0.053 8.287 0.427
Si -0.250 2.605 6.170
Si -0.250 8.266 6.170
Si 1.260 5.435 0.906
Si 1.002 5.435 6.732
Si 4.188 16.305 1.998
Si 3.931 16.305 7.825
Si 5.440 13.475 2.560
Si 5.440 19.136 2.560
Si 5.137 13.454 8.304
Si 5.137 19.157 8.304
Cl 0.216 13.218 3.979
Cl 0.216 19.393 3.979
Cl 1.065 1.332 1.668
Cl 1.065 9.539 1.668
Cl 0.472 13.055 8.201
Cl 0.472 19.556 8.201
Cl 1.260 1.281 5.858
Cl 1.260 9.589 5.858
Cl 2.194 16.305 2.384
Cl 2.386 5.435 2.584
Cl 2.804 16.305 6.147
Cl 2.997 5.435 6.346
Cl 3.931 12.151 2.873
Cl 3.931 20.460 2.873
Cl 4.718 2.185 0.530
Cl 4.718 8.685 0.530
Cl 4.125 12.202 7.063
Cl 4.125 20.409 7.063
Cl 4.974 2.348 4.752
Cl 4.974 8.523 4.752
O -0.889 2.338 7.637
O -0.889 8.532 7.637
O 0.294 4.126 0.870
O 0.294 6.744 0.870
O 0.318 4.124 6.059
O 0.318 6.747 6.059
O 0.791 5.435 8.342
O 4.400 16.305 0.389
O 4.873 14.994 2.672
O 4.873 17.617 2.672
O 4.896 14.997 7.861
O 4.896 17.614 7.861
O 6.080 13.209 1.094
O 6.080 19.402 1.094
```

Main lines, by angle (2θ from 10° to 90°):
| 2theta | intensity |
| --- | --- |
| 10.1 | 45 |
| 13.5 | 37 |
| 14.1 | 64 |
| 20.8 | 50 |
| 21.2 | 93 |
| 22.9 | 58 |
| 23.8 | 37 |
| 24.6 | 100 |

***

Computed powder diffractogram of Si2Cl2O3 for copper Kα, from a structure optimized by DFT (PBE).
Kinematic intensities with the Lorentz-polarization factor, no thermal factor.

Crystal structure
```
28
Lattice="6.534 3.772 4.455 -6.534 3.772 4.455 0.000 -7.544 4.455" Properties=species:S:1:pos:R:3 pbc="T T T"
Si -1.020 -5.206 5.356
Si -5.019 -1.719 8.009
Si 0.000 0.000 2.708
Si -3.998 3.487 5.356
Si 3.998 -3.487 8.009
Si 0.000 0.000 10.657
Si 5.019 1.719 5.356
Si 1.020 5.206 8.009
Cl -1.775 -3.455 6.025
Cl -3.880 -0.190 7.340
Cl 0.000 0.000 4.727
Cl -2.105 3.265 6.025
Cl 2.105 -3.265 7.340
Cl 0.000 0.000 8.638
Cl 3.880 0.190 6.025
Cl 1.775 3.455 7.340
O -0.992 -1.176 2.171
O -4.356 2.241 4.368
O 0.237 -4.893 4.368
O -0.523 1.448 2.171
O -4.119 -2.652 8.997
O 1.515 -0.271 2.171
O -1.515 0.271 11.194
O 4.119 2.652 4.368
O 0.523 -1.448 11.194
O -0.237 4.893 8.997
O 4.356 -2.241 8.997
O 0.992 1.176 11.194
```

Main lines, by angle (2θ from 10° to 90°):
| 2theta | intensity |
| --- | --- |
| 10.2 | 100 |
| 20.6 | 52 |
| 21.8 | 55 |
| 23.6 | 33 |
| 24.2 | 64 |
| 24.7 | 41 |
| 31.1 | 16 |
| 49.5 | 15 |

***

Computed powder diffractogram of Sr2SiCl2O3 for copper Kα, from a structure optimized by DFT (PBE).
Kinematic intensities with the Lorentz-polarization factor, no thermal factor.

Crystal structure
```
32
Lattice="-5.650 5.650 4.831 5.650 -5.650 4.831 5.650 5.650 -4.831" Properties=species:S:1:pos:R:3 pbc="T T T"
Sr 4.729 -2.811 2.609
Sr 8.461 -0.921 2.222
Sr 2.839 0.921 2.222
Sr -0.921 2.839 2.222
Sr 6.571 2.811 2.609
Sr 2.811 4.729 2.609
Sr -2.811 6.571 2.609
Sr 0.921 8.461 2.222
Si 4.557 3.597 0.000
Si 2.054 -1.094 4.831
Si 3.597 6.744 0.000
Si 1.094 2.054 4.831
Cl 8.417 1.082 0.000
Cl 0.000 0.000 1.945
Cl 5.650 0.000 2.416
Cl 1.082 2.883 0.000
Cl 4.568 2.767 4.831
Cl 0.000 5.650 2.416
Cl 0.000 0.000 7.718
Cl -2.767 4.568 4.831
O 4.185 2.886 -1.408
O 2.764 -1.465 3.423
O 6.216 3.795 0.000
O 4.185 2.886 1.408
O 3.795 5.085 0.000
O 2.886 7.115 -1.408
O 2.764 -1.465 6.240
O 1.855 0.565 4.831
O 1.465 2.764 3.423
O -0.565 1.855 4.831
O 2.886 7.115 1.408
O 1.465 2.764 6.240
```

Main lines, by angle (2θ from 10° to 90°):
| 2theta | intensity |
| --- | --- |
| 18.4 | 30 |
| 24.9 | 17 |
| 31.1 | 100 |
| 35.5 | 35 |
| 37.2 | 16 |
| 40.3 | 19 |
| 45.3 | 18 |
| 50.8 | 22 |

***

Computed powder diffractogram of Y3Si2ClO8 for copper Kα, from a structure optimized by DFT (PBE).
Kinematic intensities with the Lorentz-polarization factor, no thermal factor.

Crystal structure
```
56
Lattice="6.910 0.000 0.000 0.000 17.936 0.000 0.000 0.000 6.254" Properties=species:S:1:pos:R:3 pbc="T T T"
Y 0.085 1.613 0.800
Y 0.085 7.355 0.800
Y 1.440 13.452 2.410
Y 2.015 4.484 5.537
Y 3.370 10.581 3.927
Y 3.370 16.323 3.927
Y 3.539 1.613 2.327
Y 3.539 7.355 2.327
Y 4.895 13.452 0.716
Y 5.470 4.484 3.843
Y 6.825 10.581 5.454
Y 6.825 16.323 5.454
Si 0.150 1.791 3.884
Si 0.150 7.177 3.884
Si 3.305 10.758 0.757
Si 3.305 16.145 0.757
Si 3.605 1.791 5.497
Si 3.605 7.177 5.497
Si 6.760 10.758 2.370
Si 6.760 16.145 2.370
Cl 0.251 4.484 1.461
Cl 3.204 13.452 4.588
Cl 3.706 4.484 1.665
Cl 6.659 13.452 4.792
O 0.072 0.557 4.945
O 0.072 8.411 4.945
O 0.227 3.163 4.832
O 0.227 5.805 4.832
O 1.173 11.080 3.325
O 1.173 15.823 3.325
O 1.345 1.694 2.782
O 1.345 7.274 2.782
O 2.110 10.661 5.909
O 2.110 16.242 5.909
O 2.282 2.113 0.198
O 2.282 6.855 0.198
O 3.228 12.131 1.706
O 3.228 14.772 1.706
O 3.383 9.525 1.818
O 3.383 17.379 1.818
O 3.527 0.557 4.435
O 3.527 8.411 4.435
O 3.682 3.163 4.548
O 3.682 5.805 4.548
O 4.627 11.080 6.055
O 4.627 15.823 6.055
O 4.799 1.694 0.345
O 4.799 7.274 0.345
O 5.565 10.661 3.471
O 5.565 16.242 3.471
O 5.737 2.113 2.929
O 5.737 6.855 2.929
O 6.683 12.131 1.421
O 6.683 14.772 1.421
O 6.837 9.525 1.308
O 6.837 17.379 1.308
```

Main lines, by angle (2θ from 10° to 90°):
| 2theta | intensity |
| --- | --- |
| 19.8 | 49 |
| 20.6 | 44 |
| 25.8 | 41 |
| 29.9 | 100 |
| 31.8 | 42 |
| 34.9 | 60 |
| 47.7 | 34 |
| 51.6 | 47 |

***

Computed powder diffractogram of SmTcClO4 for copper Kα, from a structure optimized by DFT (PBE).
Kinematic intensities with the Lorentz-polarization factor, no thermal factor.

Crystal structure
```
14
Lattice="5.248 -3.659 0.000 5.248 3.659 0.000 -1.773 0.000 6.737" Properties=species:S:1:pos:R:3 pbc="T T T"
Sm 2.114 0.000 0.690
Sm 6.608 0.000 6.046
Tc 2.562 0.000 4.848
Tc 6.160 0.000 1.889
Cl -1.238 0.000 5.153
Cl 9.961 0.000 1.584
O 1.663 1.320 5.755
O 2.152 0.000 3.151
O 4.466 0.000 1.455
O 1.663 -1.320 5.755
O 7.059 1.320 0.982
O 4.256 0.000 5.282
O 6.571 0.000 3.586
O 7.059 -1.320 0.982
```

Main lines, by angle (2θ from 10° to 90°):
| 2theta | intensity |
| --- | --- |
| 13.1 | 57 |
| 17.5 | 48 |
| 24.3 | 100 |
| 24.5 | 61 |
| 28.5 | 58 |
| 29.0 | 64 |
| 34.7 | 34 |
| 34.8 | 31 |

***

Computed powder diffractogram of Sr2ClO2 for copper Kα, from a structure optimized by DFT (PBE).
Kinematic intensities with the Lorentz-polarization factor, no thermal factor.

Crystal structure
```
10
Lattice="7.005 0.000 0.000 0.000 4.214 0.000 -0.759 0.000 7.280" Properties=species:S:1:pos:R:3 pbc="T T T"
Sr 1.118 0.000 2.123
Sr 1.626 2.107 5.157
Sr 4.620 2.107 2.123
Sr 5.129 0.000 5.157
Cl 0.000 2.107 0.000
Cl 3.502 0.000 0.000
O 0.487 0.000 4.529
O 2.257 2.107 2.751
O 3.989 2.107 4.529
O 5.759 0.000 2.751
```

Main lines, by angle (2θ from 10° to 90°):
| 2theta | intensity |
| --- | --- |
| 24.5 | 21 |
| 27.2 | 34 |
| 28.2 | 100 |
| 34.0 | 30 |
| 37.0 | 18 |
| 42.9 | 21 |
| 44.5 | 30 |
| 58.0 | 16 |

***

Computed powder diffractogram of SrTcClO4 for copper Kα, from a structure optimized by DFT (PBE).
Kinematic intensities with the Lorentz-polarization factor, no thermal factor.

Crystal structure
```
14
Lattice="5.345 -3.961 0.000 5.345 3.961 0.000 -2.011 0.000 7.118" Properties=species:S:1:pos:R:3 pbc="T T T"
Sr 1.980 0.000 0.916
Sr 6.698 0.000 6.202
Tc 2.412 0.000 5.252
Tc 6.266 0.000 1.866
Cl -1.259 0.000 5.455
Cl 9.938 0.000 1.663
O 1.684 1.405 5.997
O 2.173 0.000 3.538
O 4.562 0.000 1.538
O 1.684 -1.405 5.997
O 6.995 1.405 1.121
O 4.116 0.000 5.579
O 6.506 0.000 3.579
O 6.995 -1.405 1.121
```

Main lines, by angle (2θ from 10° to 90°):
| 2theta | intensity |
| --- | --- |
| 12.4 | 27 |
| 18.3 | 23 |
| 22.4 | 100 |
| 23.9 | 46 |
| 25.0 | 31 |
| 26.7 | 35 |
| 28.0 | 50 |
| 33.0 | 45 |

***

Computed powder diffractogram of Sr2TcClO4 for copper Kα, from a structure optimized by DFT (PBE).
Kinematic intensities with the Lorentz-polarization factor, no thermal factor.

Crystal structure
```
16
Lattice="10.001 0.000 0.000 0.000 3.444 0.000 -3.596 0.000 8.297" Properties=species:S:1:pos:R:3 pbc="T T T"
Sr 0.732 0.000 2.302
Sr 0.673 1.722 5.995
Sr 5.733 1.722 2.302
Sr 5.673 0.000 5.995
Tc -1.798 0.000 4.149
Tc 3.203 1.722 4.149
Cl 0.000 1.722 0.000
Cl 5.000 0.000 0.000
O -0.584 1.722 3.702
O -1.133 0.000 5.837
O 2.538 1.722 2.460
O 1.989 0.000 4.595
O 4.417 0.000 3.702
O 3.868 1.722 5.837
O 7.538 0.000 2.460
O 6.989 1.722 4.595
```

Main lines, by angle (2θ from 10° to 90°):
| 2theta | intensity |
| --- | --- |
| 10.7 | 100 |
| 22.5 | 37 |
| 25.7 | 21 |
| 27.7 | 22 |
| 31.1 | 54 |
| 34.4 | 28 |
| 38.9 | 40 |
| 43.2 | 20 |

***

Computed powder diffractogram of Sr4Te3Cl4O8 for copper Kα, from a structure optimized by DFT (PBE).
Kinematic intensities with the Lorentz-polarization factor, no thermal factor.

Crystal structure
```
38
Lattice="8.352 -2.956 0.000 8.352 2.956 0.000 -5.373 0.000 16.015" Properties=species:S:1:pos:R:3 pbc="T T T"
Sr -0.137 0.000 2.955
Sr 0.260 0.105 7.101
Sr 0.603 -0.060 11.241
Sr 0.900 0.192 15.316
Sr 10.431 0.192 0.698
Sr 10.728 -0.060 4.774
Sr 11.070 0.105 8.913
Sr 11.468 0.000 13.060
Te 3.505 0.086 2.787
Te 3.820 0.028 6.765
Te 4.147 -0.053 10.749
Te 7.184 -0.053 5.266
Te 7.511 0.028 9.249
Te 7.826 0.086 13.227
Cl -2.349 0.450 11.965
Cl 8.352 2.701 0.000
Cl 5.665 2.437 8.007
Cl -1.970 -0.299 15.698
Cl 7.547 -0.043 1.978
Cl 3.783 -0.043 14.037
Cl 13.680 0.450 4.049
Cl 13.301 -0.299 0.317
O 0.749 1.633 13.227
O 2.542 1.385 7.041
O 2.992 1.430 10.936
O 3.452 0.473 4.689
O 8.339 1.430 5.078
O 10.582 1.633 2.788
O 8.789 1.385 8.974
O 3.906 -0.437 8.873
O 2.603 -1.408 6.707
O 0.762 -1.514 13.517
O 7.879 0.473 11.325
O 2.855 -1.374 11.151
O 7.425 -0.437 7.141
O 8.476 -1.374 4.864
O 10.569 -1.514 2.497
O 8.728 -1.408 9.308
```

Main lines, by angle (2θ from 10° to 90°):
| 2theta | intensity |
| --- | --- |
| 21.6 | 22 |
| 24.4 | 34 |
| 26.0 | 26 |
| 28.9 | 77 |
| 30.2 | 48 |
| 30.8 | 100 |
| 46.1 | 18 |
| 50.3 | 18 |